[1]
For TbDy6Y3Ho2, a DFT-relaxed cell (PBE, Alexandria) gives the theoretical X-ray diffraction stick pattern in this record (Cu Kα).
Intensities are scaled so that the largest is 100.

Crystal structure
```
data_TbDy6Y3Ho2
_chemical_formula_sum 'Tb2 Dy12 Y6 Ho4'
_cell_length_a 6.148
_cell_length_b 10.635
_cell_length_c 11.760
_cell_angle_alpha 90.00
_cell_angle_beta 99.98
_cell_angle_gamma 90.00
_symmetry_space_group_name_H-M 'C 1 2/m 1'
_symmetry_Int_Tables_number 12
loop_
_symmetry_equiv_pos_as_xyz
'x,y,z'
'-x,-y,-z'
'-x,y,-z'
'x,-y,z'
'x+1/2,y+1/2,z'
'-x+1/2,-y+1/2,-z'
'-x+1/2,y+1/2,-z'
'x+1/2,-y+1/2,z'
loop_
_atom_site_label
_atom_site_type_symbol
_atom_site_fract_x
_atom_site_fract_y
_atom_site_fract_z
Tb1 Tb 0.000 0.000 0.000
Dy1 Dy 0.250 0.000 0.751
Dy2 Dy 0.250 0.167 0.249
Y1 Y 0.000 0.167 0.500
Y2 Y 0.000 0.500 0.500
Ho1 Ho 0.000 0.333 0.000
```

Peak list (8 most intense, 2θ = 10–90°, sorted by position)
30.88°, intensity 100, (1 3 1)
35.80°, intensity 50, (2 0 2)
51.53°, intensity 36, (1 3 5)
61.29°, intensity 42, (4 0 0)
64.34°, intensity 12, (2 6 2)
84.12°, intensity 18, (4 6 0)
86.79°, intensity 8, (5 3 1)
86.88°, intensity 8, (0 6 8)

---

[2]
For Pm2Sm2Te7, a DFT-relaxed cell (PBE, Alexandria) gives the theoretical X-ray diffraction stick pattern in this record (Cu Kα).
Intensities are scaled so that the largest is 100.

Crystal structure
```
data_Pm2Sm2Te7
_chemical_formula_sum 'Pm4 Sm4 Te14'
_cell_length_a 10.936
_cell_length_b 11.317
_cell_length_c 6.884
_cell_angle_alpha 90.00
_cell_angle_beta 90.00
_cell_angle_gamma 90.00
_symmetry_space_group_name_H-M 'C m m m'
_symmetry_Int_Tables_number 65
_symmetry_space_group_name_Hall '-C 2 2'
loop_
_atom_site_label
_atom_site_type_symbol
_atom_site_fract_x
_atom_site_fract_y
_atom_site_fract_z
Pm1 Pm 0.232 0.000 0.000
Sm1 Sm 0.000 0.235 0.500
Te1 Te 0.000 0.000 0.253
Te2 Te 0.000 0.500 0.500
Te3 Te 0.250 0.250 0.243
```

Peak list (8 most intense, 2θ = 10–90°, sorted by position)
20.32°, intensity 25, (0 2 1)
20.75°, intensity 69, (2 0 1)
31.62°, intensity 46, (0 4 0)
32.76°, intensity 42, (4 0 0)
34.64°, intensity 100, (2 2 2)
38.12°, intensity 28, (2 4 1)
46.17°, intensity 31, (4 4 0)
58.28°, intensity 21, (2 6 2)

---

[3]
For Zn3Pt, a DFT-relaxed cell (PBE, Alexandria) gives the theoretical X-ray diffraction stick pattern in this record (Cu Kα).
Intensities are scaled so that the largest is 100.

Crystal structure
```
data_Zn3Pt
_chemical_formula_sum 'Zn6 Pt2'
_cell_length_a 5.531
_cell_length_b 7.453
_cell_length_c 2.841
_cell_angle_alpha 90.00
_cell_angle_beta 90.00
_cell_angle_gamma 90.00
_symmetry_space_group_name_H-M 'C m m m'
_symmetry_Int_Tables_number 65
_symmetry_space_group_name_Hall '-C 2 2'
loop_
_atom_site_label
_atom_site_type_symbol
_atom_site_fract_x
_atom_site_fract_y
_atom_site_fract_z
Zn1 Zn 0.000 0.000 0.000
Zn2 Zn 0.250 0.250 0.500
Pt1 Pt 0.000 0.500 0.000
```

Peak list (8 most intense, 2θ = 10–90°, sorted by position)
19.99°, intensity 49, (1 1 0)
39.90°, intensity 100, (0 2 1)
40.62°, intensity 95, (2 2 0)
45.79°, intensity 67, (2 0 1)
48.88°, intensity 28, (0 4 0)
69.21°, intensity 38, (2 4 1)
80.22°, intensity 25, (2 2 2)
81.63°, intensity 24, (4 2 1)

---

[4]
For Pm5Tl2Se2, a DFT-relaxed cell (PBE, Alexandria) gives the theoretical X-ray diffraction stick pattern in this record (Cu Kα).
Intensities are scaled so that the largest is 100.

Crystal structure
```
data_Pm5Tl2Se2
_chemical_formula_sum 'Pm20 Tl8 Se8'
_cell_length_a 15.438
_cell_length_b 8.134
_cell_length_c 8.221
_cell_angle_alpha 90.00
_cell_angle_beta 90.00
_cell_angle_gamma 90.00
_symmetry_space_group_name_H-M 'C m c e'
_symmetry_Int_Tables_number 64
_symmetry_space_group_name_Hall '-C 2ac 2'
loop_
_atom_site_label
_atom_site_type_symbol
_atom_site_fract_x
_atom_site_fract_y
_atom_site_fract_z
Pm1 Pm 0.000 0.000 0.000
Pm2 Pm 0.128 0.168 0.337
Tl1 Tl 0.209 0.000 0.000
Se1 Se 0.000 0.140 0.645
```

Peak list (8 most intense, 2θ = 10–90°, sorted by position)
29.91°, intensity 84, (3 1 2)
30.93°, intensity 88, (0 2 2)
31.80°, intensity 59, (4 0 2)
31.97°, intensity 65, (4 2 0)
32.88°, intensity 100, (5 1 1)
33.82°, intensity 90, (4 2 1)
35.04°, intensity 78, (1 1 3)
35.34°, intensity 77, (1 3 1)

---

[5]
For K4Eu2UGe4O16, a DFT-relaxed cell (PBE, Alexandria) gives the theoretical X-ray diffraction stick pattern in this record (Cu Kα).
Intensities are scaled so that the largest is 100.

Crystal structure
```
data_K4Eu2UGe4O16
_chemical_formula_sum 'K4 Eu2 U1 Ge4 O16'
_cell_length_a 7.065
_cell_length_b 7.076
_cell_length_c 10.111
_cell_angle_alpha 99.23
_cell_angle_beta 93.84
_cell_angle_gamma 110.90
_symmetry_space_group_name_H-M 'P -1'
_symmetry_Int_Tables_number 2
loop_
_symmetry_equiv_pos_as_xyz
'x,y,z'
'-x,-y,-z'
loop_
_atom_site_label
_atom_site_type_symbol
_atom_site_fract_x
_atom_site_fract_y
_atom_site_fract_z
K1 K 0.189 0.331 0.034
K2 K 0.244 0.461 0.402
Eu1 Eu 0.273 0.023 0.604
U1 U 0.500 0.000 0.000
Ge1 Ge 0.173 0.877 0.266
Ge2 Ge 0.238 0.536 0.739
O1 O 0.004 0.609 0.204
O2 O 0.070 0.027 0.371
O3 O 0.182 0.688 0.634
O4 O 0.229 0.961 0.113
O5 O 0.349 0.377 0.652
O6 O 0.359 0.069 0.861
O7 O 0.372 0.879 0.382
O8 O 0.386 0.670 0.899
```

Peak list (8 most intense, 2θ = 10–90°, sorted by position)
13.67°, intensity 79, (0 1 0)
15.22°, intensity 83, (1 0 -1)
23.98°, intensity 42, (1 0 2)
26.77°, intensity 36, (-2 1 1)
27.25°, intensity 39, (2 0 0)
27.54°, intensity 100, (0 2 0)
31.77°, intensity 59, (1 1 -3)
31.97°, intensity 49, (-1 1 3)

---

[6]
For NdTmTh14, a DFT-relaxed cell (PBE, Alexandria) gives the theoretical X-ray diffraction stick pattern in this record (Cu Kα).
Intensities are scaled so that the largest is 100.

Crystal structure
```
data_NdTmTh14
_chemical_formula_sum 'Nd2 Tm2 Th28'
_cell_length_a 11.599
_cell_length_b 7.173
_cell_length_c 12.442
_cell_angle_alpha 90.00
_cell_angle_beta 90.00
_cell_angle_gamma 90.00
_symmetry_space_group_name_H-M 'A m m 2'
_symmetry_Int_Tables_number 38
loop_
_symmetry_equiv_pos_as_xyz
'x,y,z'
'-x,-y,z'
'-x,y,z'
'x,-y,z'
'x,y+1/2,z+1/2'
'-x,-y+1/2,z+1/2'
'-x,y+1/2,z+1/2'
'x,-y+1/2,z+1/2'
loop_
_atom_site_label
_atom_site_type_symbol
_atom_site_fract_x
_atom_site_fract_y
_atom_site_fract_z
Nd1 Nd 0.000 0.000 0.000
Tm1 Tm 0.000 0.000 0.499
Th1 Th 0.000 0.249 0.246
Th2 Th 0.250 0.000 0.664
Th3 Th 0.251 0.249 0.415
Th4 Th 0.252 0.000 0.165
Th5 Th 0.500 0.000 0.332
Th6 Th 0.500 0.000 0.832
Th7 Th 0.500 0.249 0.581
```

Peak list (8 most intense, 2θ = 10–90°, sorted by position)
29.76°, intensity 38, (1 0 4)
30.84°, intensity 33, (4 0 0)
32.69°, intensity 100, (2 2 2)
37.11°, intensity 22, (3 0 4)
50.88°, intensity 26, (0 4 0)
56.02°, intensity 22, (6 2 2)
60.69°, intensity 30, (4 4 0)
61.80°, intensity 17, (2 0 8)